The following is a computed X-ray powder pattern of PmSm6Cd5. It was derived from a structure optimized by DFT (PBE), using CuKα.
No peak broadening, texture or thermal motion is included.

Crystal structure
Cell lengths 9.434, 9.434, 9.434 Å; angles 146.86, 130.85, 60.56 degrees
Fractional positions:
Pm 0.000 0.000 0.000
Sm 0.086 0.829 0.257
Sm 0.271 0.500 0.771
Sm 0.429 0.171 0.257
Sm 0.571 0.829 0.743
Sm 0.729 0.500 0.229
Sm 0.914 0.171 0.743
Cd 0.155 0.655 0.500
Cd 0.330 0.330 0.000
Cd 0.500 0.000 0.500
Cd 0.670 0.670 0.000
Cd 0.845 0.345 0.500

Largest 8 diffraction maxima, low angle first, 2θ from 10° to 90°:
| d_spacing | 2theta | I/Imax |
| --- | --- | --- |
| 2.738 | 32.71 | 100.0 |
| 2.716 | 32.98 | 24.1 |
| 2.690 | 33.31 | 24.5 |
| 1.911 | 47.58 | 17.1 |
| 1.572 | 58.73 | 17.0 |
| 1.562 | 59.14 | 18.1 |
| 1.369 | 68.55 | 10.6 |
| 1.212 | 79.00 | 10.6 |